Computed powder diffraction line list of Li7Mn4CoO12 for a wavelength of 1.5418 Å, from a structure optimized by DFT (PBE+U).
Peak positions follow from Bragg's law for the DFT cell and can differ from measured ones.

Principal peaks in the range 10° ≤ 2θ ≤ 90°, low angle first:
| 2θ/deg | I (rel.) |
| --- | --- |
| 18.33 | 100 |
| 34.58 | 16 |
| 36.27 | 23 |
| 41.85 | 32 |
| 44.06 | 56 |
| 47.41 | 12 |
| 62.17 | 15 |
| 62.60 | 16 |

Atomic structure:
Lattice parameters (Å, degrees): 13.2561 2.8747 11.7591 90.00 102.30 90.00
Space group Cm (No. 8)
Inequivalent atoms, fractional coordinates:
1 Li 0.0000 0.0000 0.0000 (multiplicity 2)
2 Li 0.0008 0.0000 0.2433 (multiplicity 2)
3 Li 0.0054 0.0000 0.4884 (multiplicity 2)
4 Li 0.1648 0.5000 0.1625 (multiplicity 2)
5 Li 0.1669 0.5000 0.6608 (multiplicity 2)
6 Li 0.3354 0.0000 0.8291 (multiplicity 2)
7 Li 0.3388 0.0000 0.3254 (multiplicity 2)
8 Mn 0.0050 0.0000 0.7474 (multiplicity 2)
9 Mn 0.1570 0.5000 0.4046 (multiplicity 2)
10 Mn 0.3323 0.0000 0.5757 (multiplicity 2)
11 Mn 0.3440 0.0000 0.0819 (multiplicity 2)
12 Co 0.1736 0.5000 0.9146 (multiplicity 2)
13 O 0.0030 0.5000 0.8603 (multiplicity 2)
14 O 0.0052 0.5000 0.6329 (multiplicity 2)
15 O 0.0162 0.5000 0.3732 (multiplicity 2)
16 O 0.1642 0.0000 0.5205 (multiplicity 2)
17 O 0.1692 0.0000 0.2976 (multiplicity 2)
18 O 0.1750 0.0000 0.8040 (multiplicity 2)
19 O 0.1798 0.0000 0.0276 (multiplicity 2)
20 O 0.3251 0.5000 0.4586 (multiplicity 2)
21 O 0.3291 0.5000 0.6892 (multiplicity 2)
22 O 0.3323 0.5000 0.1891 (multiplicity 2)
23 O 0.3365 0.5000 0.9661 (multiplicity 2)
24 O 0.4852 0.0000 0.1140 (multiplicity 2)

=====

Computed powder diffraction line list of Li7Mn4CoO12 for a wavelength of 1.5418 Å, from a structure optimized by DFT (PBE+U).
Peak positions follow from Bragg's law for the DFT cell and can differ from measured ones.

Principal peaks in the range 10° ≤ 2θ ≤ 90°, low angle first:
| 2θ/deg | I (rel.) |
| --- | --- |
| 18.08 | 100 |
| 33.76 | 20 |
| 36.30 | 23 |
| 40.55 | 38 |
| 44.09 | 57 |
| 46.77 | 11 |
| 61.33 | 18 |
| 61.55 | 18 |

Atomic structure:
Lattice parameters (Å, degrees): 5.3496 2.8616 29.4904 90.00 93.40 90.00
Space group Cm (No. 8)
Inequivalent atoms, fractional coordinates:
1 Li 0.0000 0.0000 0.0000 (multiplicity 2)
2 Li 0.0000 0.0000 0.2511 (multiplicity 2)
3 Li 0.0014 0.0000 0.7496 (multiplicity 2)
4 Li 0.1644 0.5000 0.9207 (multiplicity 2)
5 Li 0.1689 0.5000 0.4141 (multiplicity 2)
6 Li 0.3341 0.0000 0.5824 (multiplicity 2)
7 Li 0.3390 0.0000 0.0777 (multiplicity 2)
8 Mn 0.0026 0.0000 0.4993 (multiplicity 2)
9 Mn 0.1676 0.5000 0.6659 (multiplicity 2)
10 Mn 0.1693 0.5000 0.1658 (multiplicity 2)
11 Mn 0.3316 0.0000 0.8328 (multiplicity 2)
12 Co 0.3347 0.0000 0.3327 (multiplicity 2)
13 O 0.0105 0.0000 0.3708 (multiplicity 2)
14 O 0.0143 0.0000 0.1299 (multiplicity 2)
15 O 0.0228 0.0000 0.6276 (multiplicity 2)
16 O 0.1477 0.5000 0.5382 (multiplicity 2)
17 O 0.1580 0.5000 0.2946 (multiplicity 2)
18 O 0.1655 0.5000 0.0418 (multiplicity 2)
19 O 0.1853 0.5000 0.7939 (multiplicity 2)
20 O 0.3128 0.0000 0.7043 (multiplicity 2)
21 O 0.3186 0.0000 0.2038 (multiplicity 2)
22 O 0.3376 0.0000 0.9574 (multiplicity 2)
23 O 0.3545 0.0000 0.4615 (multiplicity 2)
24 O 0.4861 0.5000 0.8689 (multiplicity 2)

=====

Computed powder diffraction line list of Li7Mn2Co3O12 for a wavelength of 1.5418 Å, from a structure optimized by DFT (PBE+U).
Peak positions follow from Bragg's law for the DFT cell and can differ from measured ones.

Principal peaks in the range 10° ≤ 2θ ≤ 90°, low angle first:
| 2θ/deg | I (rel.) |
| --- | --- |
| 18.35 | 100 |
| 35.54 | 14 |
| 36.04 | 13 |
| 36.62 | 12 |
| 42.96 | 30 |
| 43.68 | 28 |
| 44.31 | 27 |
| 63.01 | 15 |

Atomic structure:
Lattice parameters (Å, degrees): 4.9903 5.0944 8.8752 90.34 90.71 108.38
Space group P-1 (No. 2)
Inequivalent atoms, fractional coordinates:
1 Li 0.0000 0.0000 0.0000 (multiplicity 1)
2 Li 0.9995 0.0024 0.3456 (multiplicity 2)
3 Li 0.0000 0.5000 0.5000 (multiplicity 1)
4 Li 0.4934 0.9955 0.1709 (multiplicity 2)
5 Li 0.5000 0.0000 0.5000 (multiplicity 1)
6 Mn 0.0026 0.5048 0.8317 (multiplicity 2)
7 Co 0.4933 0.4944 0.3411 (multiplicity 2)
8 Co 0.5000 0.5000 0.0000 (multiplicity 1)
9 O 0.2294 0.2640 0.1674 (multiplicity 2)
10 O 0.2369 0.7158 0.0034 (multiplicity 2)
11 O 0.2413 0.7209 0.3170 (multiplicity 2)
12 O 0.2504 0.7228 0.6854 (multiplicity 2)
13 O 0.2567 0.2823 0.8457 (multiplicity 2)
14 O 0.2764 0.2562 0.5016 (multiplicity 2)

=====

Computed powder diffraction line list of Li4MnCo2O7 for a wavelength of 1.5418 Å, from a structure optimized by DFT (PBE+U).
Peak positions follow from Bragg's law for the DFT cell and can differ from measured ones.

Principal peaks in the range 10° ≤ 2θ ≤ 90°, low angle first:
| 2θ/deg | I (rel.) |
| --- | --- |
| 18.40 | 100 |
| 33.94 | 21 |
| 36.65 | 12 |
| 36.90 | 12 |
| 40.70 | 36 |
| 44.63 | 27 |
| 45.08 | 25 |
| 62.15 | 17 |

Atomic structure:
Lattice parameters (Å, degrees): 4.9931 5.9685 8.7141 88.63 86.45 78.03
Space group P-1 (No. 2)
Inequivalent atoms, fractional coordinates:
1 Li 0.0000 0.0000 0.0000 (multiplicity 1)
2 Li 0.0000 0.5000 0.0000 (multiplicity 1)
3 Li 0.1446 0.2116 0.7203 (multiplicity 2)
4 Li 0.2833 0.9291 0.4281 (multiplicity 2)
5 Li 0.4247 0.6436 0.1413 (multiplicity 2)
6 Mn 0.2884 0.4256 0.4251 (multiplicity 2)
7 Co 0.1401 0.7188 0.7175 (multiplicity 2)
8 Co 0.4313 0.1279 0.1378 (multiplicity 2)
9 O 0.0047 0.2546 0.4850 (multiplicity 2)
10 O 0.1301 0.4585 0.2218 (multiplicity 2)
11 O 0.1677 0.9825 0.2089 (multiplicity 2)
12 O 0.3064 0.6908 0.9098 (multiplicity 2)
13 O 0.3067 0.1678 0.9394 (multiplicity 2)
14 O 0.4146 0.8884 0.6582 (multiplicity 2)
15 O 0.4333 0.3990 0.6308 (multiplicity 2)

=====

Computed powder diffraction line list of Li3MnCoO5 for a wavelength of 1.5418 Å, from a structure optimized by DFT (PBE+U).
Peak positions follow from Bragg's law for the DFT cell and can differ from measured ones.

Principal peaks in the range 10° ≤ 2θ ≤ 90°, low angle first:
| 2θ/deg | I (rel.) |
| --- | --- |
| 18.33 | 100 |
| 34.72 | 15 |
| 36.08 | 12 |
| 36.56 | 10 |
| 41.70 | 32 |
| 43.75 | 28 |
| 44.71 | 25 |
| 62.78 | 15 |

Atomic structure:
Lattice parameters (Å, degrees): 2.9868 6.4429 9.8597 79.61 87.43 76.82
Space group P1 (No. 1)
Inequivalent atoms, fractional coordinates:
1 Li 0.0000 0.0000 0.0000 (multiplicity 1)
2 Li 0.0635 0.8181 0.2821 (multiplicity 1)
3 Li 0.2753 0.4091 0.8908 (multiplicity 1)
4 Li 0.4953 0.0039 0.4998 (multiplicity 1)
5 Li 0.6710 0.6286 0.0910 (multiplicity 1)
6 Li 0.8917 0.2044 0.6938 (multiplicity 1)
7 Mn 0.3753 0.2066 0.1853 (multiplicity 1)
8 Mn 0.7708 0.4192 0.3909 (multiplicity 1)
9 Co 0.1829 0.6142 0.5968 (multiplicity 1)
10 Co 0.5845 0.8174 0.8025 (multiplicity 1)
11 O 0.0120 0.8941 0.6477 (multiplicity 1)
12 O 0.1609 0.7164 0.9295 (multiplicity 1)
13 O 0.1962 0.4977 0.2459 (multiplicity 1)
14 O 0.3564 0.3276 0.5406 (multiplicity 1)
15 O 0.4456 0.0828 0.8335 (multiplicity 1)
16 O 0.5231 0.9310 0.1478 (multiplicity 1)
17 O 0.6455 0.6992 0.4517 (multiplicity 1)
18 O 0.7176 0.5349 0.7428 (multiplicity 1)
19 O 0.8480 0.2993 0.0612 (multiplicity 1)
20 O 0.8947 0.1359 0.3260 (multiplicity 1)

=====

Computed powder diffraction line list of Li4Mn3Co5O16 for a wavelength of 1.5418 Å, from a structure optimized by DFT (PBE+U).
Peak positions follow from Bragg's law for the DFT cell and can differ from measured ones.

Principal peaks in the range 10° ≤ 2θ ≤ 90°, low angle first:
| 2θ/deg | I (rel.) |
| --- | --- |
| 19.23 | 65 |
| 20.37 | 100 |
| 26.41 | 32 |
| 34.32 | 32 |
| 37.01 | 42 |
| 37.64 | 38 |
| 47.14 | 45 |
| 65.58 | 28 |

Atomic structure:
Lattice parameters (Å, degrees): 9.8457 5.7235 9.2310 90.00 90.18 90.00
Space group Cm (No. 8)
Inequivalent atoms, fractional coordinates:
1 Li 0.0000 0.0000 0.0000 (multiplicity 2)
2 Li 0.0025 0.0000 0.5040 (multiplicity 2)
3 Li 0.1635 0.5000 0.1015 (multiplicity 2)
4 Li 0.3261 0.0000 0.6046 (multiplicity 2)
5 Mn 0.3241 0.5000 0.7859 (multiplicity 2)
6 Mn 0.4121 0.2448 0.2857 (multiplicity 4)
7 Co 0.0788 0.2538 0.7896 (multiplicity 4)
8 Co 0.1592 0.5000 0.5182 (multiplicity 2)
9 Co 0.1674 0.0000 0.2850 (multiplicity 2)
10 Co 0.3283 0.0000 0.0155 (multiplicity 2)
11 O 0.0148 0.5000 0.6628 (multiplicity 2)
12 O 0.0779 0.2498 0.3992 (multiplicity 4)
13 O 0.1602 0.5000 0.8927 (multiplicity 2)
14 O 0.1612 0.0000 0.8936 (multiplicity 2)
15 O 0.2313 0.2811 0.6596 (multiplicity 4)
16 O 0.2559 0.2171 0.1565 (multiplicity 4)
17 O 0.3313 0.0000 0.3931 (multiplicity 2)
18 O 0.3319 0.5000 0.4000 (multiplicity 2)
19 O 0.4142 0.2487 0.8979 (multiplicity 4)
20 O 0.4762 0.0000 0.1567 (multiplicity 2)
21 O 0.4947 0.5000 0.6918 (multiplicity 2)
22 O 0.4973 0.5000 0.1885 (multiplicity 2)